FeSiMo2N: computed powder X-ray diffraction pattern (Cu Kα), based on the GGA-PBE geometry in Alexandria.

Atomic structure:
Cell lengths 4.0226, 4.0226, 3.9273 Å; angles 90.00, 90.00, 90.00 degrees
Space group P4/mmm (No. 123)
Asymmetric unit:
Fe (0.0000, 0.0000, 0.0000)
Si (0.5000, 0.5000, 0.0000)
Mo (0.0000, 0.5000, 0.5000)
N (0.5000, 0.5000, 0.5000)

Most intense lines, 10° ≤ 2θ ≤ 80°, sorted by position:
d 3.927, I 22; d 2.844, I 11; d 2.810, I 5; d 2.304, I 100; d 2.011, I 39; d 1.964, I 18; d 1.790, I 9; d 1.422, I 12; d 1.405, I 23; d 1.210, I 25